Starting from a cell relaxed with GGA+U, the powder X-ray diffraction pattern of CaLaCrCoO6 was calculated for CuKα.
No peak broadening, texture or thermal motion is included.

Largest 8 diffraction maxima, in order of rising 2θ, 10° ≤ 2θ ≤ 80°:
d/Å  Rel. int.
4.425  177
4.403  180
2.718  197
2.700  1000
1.915  257
1.904  137
1.559  258
1.350  163

Atomic structure:
```
data_CaLaCrCoO6
_symmetry_space_group_name_H-M 'P 1 c 1'
_symmetry_Int_Tables_number 7
_symmetry_space_group_name_Hall 'P -2yc'
_cell_length_a 5.3953
_cell_length_b 5.4367
_cell_length_c 9.3338
_cell_angle_alpha 90.00
_cell_angle_beta 125.30
_cell_angle_gamma 90.00
loop_
_atom_site_label
_atom_site_type_symbol
_atom_site_fract_x
_atom_site_fract_y
_atom_site_fract_z
Ca1 Ca 0.0000 0.2088 0.0000
La1 La 0.5136 0.2792 0.4998
Cr1 Cr 0.2584 0.2491 0.7502
Co1 Co 0.7577 0.2519 0.2491
O1 O 0.0111 0.4616 0.2122
O2 O 0.0720 0.2330 0.5000
O3 O 0.4328 0.2637 0.9989
O4 O 0.5069 0.0358 0.2824
O5 O 0.5851 0.4612 0.7896
O6 O 0.9407 0.0307 0.7147
```